The following is a simulated powder diffraction line list of Y5Ge3C. It was derived from the GGA-PBE geometry in the Materials Project, using CuKα.
Kinematic intensities with the Lorentz-polarization factor, no thermal factor.

Principal peaks in the range 15° ≤ 2θ ≤ 90°, sorted by position:
(1 1 2), 2θ 30.19, I 19; (4 2 0), 2θ 32.04, I 32; (0 2 2), 2θ 34.83, I 65; (1 3 1), 2θ 34.99, I 100; (3 3 0), 2θ 36.47, I 21; (1 3 3), 2θ 53.74, I 28

```
data_Y5Ge3C
_chemical_formula_sum 'Y20 Ge12 C4'
_symmetry_space_group_name_H-M 'C m c m'
_symmetry_Int_Tables_number 63
_symmetry_space_group_name_Hall '-C 2c 2'
_cell_length_a 14.763
_cell_length_b 8.545
_cell_length_c 6.462
_cell_angle_alpha 90.00
_cell_angle_beta 90.00
_cell_angle_gamma 90.00
loop_
_atom_site_label
_atom_site_type_symbol
_atom_site_fract_x
_atom_site_fract_y
_atom_site_fract_z
Y1 Y 0.000 0.223 0.250
Y2 Y 0.110 0.111 0.750
Y3 Y 0.166 0.500 0.000
Ge1 Ge 0.000 0.407 0.750
Ge2 Ge 0.204 0.204 0.250
C1 C 0.000 0.000 0.000
```